[1]
AcPr2Cd2Pb2: calculated powder XRD pattern (Cu Ka), based on a PBE-relaxed structure.
Intensities are scaled so that the largest is 100.

Peak list (10 most intense, 10 to 90 degrees two-theta, in order of rising 2θ)
Position (°2θ)  I/Imax
23.39  13.4
29.70  100.0
32.19  25.5
34.42  93.1
46.08  30.1
58.76  29.2
60.67  14.3
61.65  21.8
72.56  16.2
80.30  12.5

Structure:
Cell lengths 5.2116, 5.2116, 28.2498 Å; angles 90.00, 90.00, 120.00 degrees
Space group R-3m (No. 166, hexagonal axes)
Inequivalent atoms, fractional coordinates:
Ac 0.0000 0.0000 0.0000 x3
Pr 0.0000 0.0000 0.1339 x6
Cd 0.0000 0.0000 0.4293 x6
Pb 0.0000 0.0000 0.2660 x6

---

[2]
Ac2Cd5Pd4: calculated powder XRD pattern (Cu Ka), based on a PBE-relaxed structure.
Intensities are scaled so that the largest is 100.

Peak list (10 most intense, 10 to 90 degrees two-theta, in order of rising 2θ)
Position (°2θ)  I/Imax
25.98  31.5
26.66  29.0
30.27  25.1
32.79  46.8
36.38  86.9
36.71  29.6
37.43  65.1
37.89  100.0
50.59  22.9
59.85  27.9

Structure:
Cell lengths 5.757, 9.309, 9.613 Å; angles 90.00, 90.00, 90.00 degrees
Space group Immm (No. 71)
Inequivalent atoms, fractional coordinates:
Ac 0.000 0.000 0.228 x4
Cd 0.000 0.500 0.500 x2
Cd 0.247 0.296 0.000 x8
Pd 0.000 0.330 0.258 x8

---

[3]
Ac2Cd12Pd5: calculated powder XRD pattern (Cu Ka), based on a PBE-relaxed structure.
Intensities are scaled so that the largest is 100.

Peak list (10 most intense, 10 to 90 degrees two-theta, in order of rising 2θ)
Position (°2θ)  I/Imax
30.80  38.6
32.35  25.9
35.71  72.7
36.20  100.0
37.60  71.8
40.54  43.4
41.79  21.1
52.85  21.2
64.16  21.0
67.01  21.3

Structure:
Cell lengths 10.0568, 10.0568, 14.3382 Å; angles 90.00, 90.00, 120.00 degrees
Space group R-3m (No. 166, hexagonal axes)
Inequivalent atoms, fractional coordinates:
Ac 0.0000 0.0000 0.1764 x6
Cd 0.0000 0.2860 0.5000 x18
Cd 0.0067 0.5033 0.3494 x18
Pd 0.0000 0.0000 0.3912 x6
Pd 0.0000 0.5000 0.0000 x9

---

[4]
AcCd12Pd6: calculated powder XRD pattern (Cu Ka), based on a PBE-relaxed structure.
Intensities are scaled so that the largest is 100.

Peak list (10 most intense, 10 to 90 degrees two-theta, in order of rising 2θ)
Position (°2θ)  I/Imax
23.89  28.7
31.52  100.0
32.08  64.1
35.72  24.9
37.75  38.3
38.23  37.4
41.40  31.2
42.07  47.1
46.51  54.5
58.14  23.8

Structure:
Cell lengths 12.4010, 12.4010, 9.3732 Å; angles 90.00, 90.00, 120.00 degrees
Space group R-3m (No. 166, hexagonal axes)
Inequivalent atoms, fractional coordinates:
Ac 0.0000 0.0000 0.0000 x3
Cd 0.0000 0.3845 0.5000 x18
Cd 0.0859 0.1718 0.3180 x18
Pd 0.0482 0.5241 0.2502 x18

---

[5]
AcCdPd3: calculated powder XRD pattern (Cu Ka), based on a PBE-relaxed structure.
Intensities are scaled so that the largest is 100.

Peak list (10 most intense, 10 to 90 degrees two-theta, in order of rising 2θ)
Position (°2θ)  I/Imax
26.44  22.0
30.45  52.9
30.82  25.4
32.75  26.1
34.37  100.0
36.72  29.3
36.98  44.4
37.27  98.5
38.99  50.7
44.45  35.1

Structure:
Cell lengths 5.307, 5.983, 6.746 Å; angles 90.00, 92.50, 90.00 degrees
Space group P2_1/m (No. 11)
Inequivalent atoms, fractional coordinates:
Ac 0.174 0.250 0.159 x2
Cd 0.123 0.750 0.397 x2
Pd 0.341 0.750 0.035 x2
Pd 0.350 0.018 0.684 x4

---

[6]
Ac3Cd9Pd2: calculated powder XRD pattern (Cu Ka), based on a PBE-relaxed structure.
Intensities are scaled so that the largest is 100.

Peak list (10 most intense, 10 to 90 degrees two-theta, in order of rising 2θ)
Position (°2θ)  I/Imax
26.59  18.7
31.12  36.7
31.68  100.0
32.50  25.3
33.15  27.1
33.93  20.5
35.55  47.3
39.31  24.9
48.93  17.0
62.76  24.1

Structure:
Cell lengths 5.051, 10.482, 13.439 Å; angles 90.00, 90.00, 90.00 degrees
Space group Immm (No. 71)
Inequivalent atoms, fractional coordinates:
Ac 0.000 0.000 0.000 x2
Ac 0.000 0.000 0.303 x4
Cd 0.000 0.282 0.129 x8
Cd 0.000 0.359 0.351 x8
Cd 0.000 0.500 0.000 x2
Pd 0.000 0.160 0.500 x4

---

[7]
AcCd6Pd2: calculated powder XRD pattern (Cu Ka), based on a PBE-relaxed structure.
Intensities are scaled so that the largest is 100.

Peak list (10 most intense, 10 to 90 degrees two-theta, in order of rising 2θ)
Position (°2θ)  I/Imax
26.08  19.7
27.17  23.2
31.78  26.6
34.20  100.0
34.38  62.6
35.37  40.8
38.38  31.1
48.53  23.2
61.46  17.9
74.01  20.3

Structure:
Cell lengths 14.120, 6.235, 5.217 Å; angles 90.00, 111.58, 90.00 degrees
Space group C2/m (No. 12)
Inequivalent atoms, fractional coordinates:
Ac 0.000 0.000 0.000 x2
Cd 0.000 0.288 0.500 x4
Cd 0.211 0.252 0.711 x8
Pd 0.107 0.500 0.108 x4

---

[8]
Ac5CdPd2: calculated powder XRD pattern (Cu Ka), based on a PBE-relaxed structure.
Intensities are scaled so that the largest is 100.

Peak list (10 most intense, 10 to 90 degrees two-theta, in order of rising 2θ)
Position (°2θ)  I/Imax
24.29  31.1
28.45  43.4
29.35  91.8
29.86  100.0
31.81  39.6
32.42  86.2
33.65  51.3
49.76  38.0
51.65  39.8
62.24  24.3

Structure:
Cell lengths 8.386, 8.775, 14.665 Å; angles 90.00, 90.00, 90.00 degrees
Space group Ibam (No. 72)
Inequivalent atoms, fractional coordinates:
Ac 0.000 0.000 0.000 x4
Ac 0.155 0.335 0.139 x16
Cd 0.000 0.000 0.250 x4
Pd 0.136 0.375 0.500 x8

---

[9]
Ac4Cd3Pd5: calculated powder XRD pattern (Cu Ka), based on a PBE-relaxed structure.
Intensities are scaled so that the largest is 100.

Peak list (10 most intense, 10 to 90 degrees two-theta, in order of rising 2θ)
Position (°2θ)  I/Imax
26.52  61.5
26.86  32.2
29.40  82.7
30.55  100.0
32.51  50.0
34.78  60.2
36.32  93.9
37.03  34.3
37.44  30.8
39.38  35.8

Structure:
Cell lengths 14.000, 4.947, 11.547 Å; angles 90.00, 124.44, 90.00 degrees
Space group C2/m (No. 12)
Inequivalent atoms, fractional coordinates:
Ac 0.034 0.000 0.324 x4
Ac 0.236 0.500 0.259 x4
Cd 0.000 0.000 0.000 x2
Cd 0.170 0.500 0.919 x4
Pd 0.000 0.500 0.000 x2
Pd 0.084 0.500 0.639 x4
Pd 0.200 0.500 0.509 x4

---

[10]
Ac2CdPd: calculated powder XRD pattern (Cu Ka), based on a PBE-relaxed structure.
Intensities are scaled so that the largest is 100.

Peak list (10 most intense, 10 to 90 degrees two-theta, in order of rising 2θ)
Position (°2θ)  I/Imax
18.27  32.3
25.74  73.7
29.17  53.1
30.40  29.7
31.17  100.0
33.21  42.9
39.97  25.9
46.19  68.1
50.24  24.3
52.92  23.1

Structure:
Cell lengths 12.027, 5.395, 9.022 Å; angles 90.00, 111.95, 90.00 degrees
Space group C2/c (No. 15)
Inequivalent atoms, fractional coordinates:
Ac 0.174 0.000 0.087 x8
Cd 0.000 0.499 0.250 x4
Pd 0.000 0.001 0.750 x4

---

[11]
Ac2Cd2SnPd5: calculated powder XRD pattern (Cu Ka), based on a PBE-relaxed structure.
Intensities are scaled so that the largest is 100.

Peak list (10 most intense, 10 to 90 degrees two-theta, in order of rising 2θ)
Position (°2θ)  I/Imax
30.00  13.4
33.35  18.4
34.32  33.9
35.41  100.0
38.36  18.7
41.12  12.7
48.02  15.4
57.41  9.9
60.34  13.5
61.02  10.0

Structure:
Cell lengths 10.773, 10.773, 3.789 Å; angles 90.00, 90.00, 90.00 degrees
Space group P4/mbm (No. 127)
Inequivalent atoms, fractional coordinates:
Ac 0.174 0.326 0.000 x4
Cd 0.126 0.626 0.000 x4
Sn 0.000 0.000 0.000 x2
Pd 0.000 0.500 0.500 x2
Pd 0.047 0.805 0.500 x8

---

[12]
AcZnCdPd2: calculated powder XRD pattern (Cu Ka), based on a PBE-relaxed structure.
Intensities are scaled so that the largest is 100.

Peak list (10 most intense, 10 to 90 degrees two-theta, in order of rising 2θ)
Position (°2θ)  I/Imax
26.10  15.2
29.43  72.4
31.04  41.0
33.79  100.0
37.28  15.7
39.73  74.1
44.49  32.3
61.11  21.0
61.21  20.7
77.33  16.8

Structure:
Cell lengths 5.767, 13.657, 5.752 Å; angles 90.00, 90.00, 90.00 degrees
Space group Cmme (No. 67)
Inequivalent atoms, fractional coordinates:
Ac 0.000 0.250 0.247 x4
Zn 0.000 0.000 0.000 x4
Cd 0.250 0.000 0.500 x4
Pd 0.000 0.149 0.744 x8

---

[13]
AcPmCd17: calculated powder XRD pattern (Cu Ka), based on a PBE-relaxed structure.
Intensities are scaled so that the largest is 100.

Peak list (10 most intense, 10 to 90 degrees two-theta, in order of rising 2θ)
Position (°2θ)  I/Imax
24.93  12.5
30.44  35.6
31.26  24.7
35.30  51.3
35.42  100.0
35.79  30.6
36.14  28.0
39.74  38.8
63.35  17.6
64.08  20.3

Structure:
Cell lengths 10.1717, 10.1717, 15.0515 Å; angles 90.00, 90.00, 120.00 degrees
Space group R3m (No. 160, hexagonal axes)
Inequivalent atoms, fractional coordinates:
Ac 0.0000 0.0000 0.0000 x3
Pm 0.0000 0.0000 0.6637 x3
Cd 0.0000 0.0000 0.2399 x3
Cd 0.0000 0.0000 0.4393 x3
Cd 0.0031 0.2996 0.3342 x18
Cd 0.0079 0.5039 0.1887 x9
Cd 0.0177 0.5089 0.8307 x9
Cd 0.0362 0.5181 0.4836 x9